Starting from a GGA-PBE-relaxed structure, the powder X-ray diffraction pattern of SmTh6Sc12 was simulated for Cu Kα X-rays.

Peak list (12 most intense, 10 to 80 degrees two-theta, by intensity)
2θ/deg	d [Å]	I_rel
21.3	4.169	100
33.5	2.672	96
36.9	2.438	87
34.3	2.613	74
22.7	3.919	56
11.3	7.838	41
38.0	2.371	34
18.7	4.741	33
25.6	3.482	31
38.3	2.349	31
38.8	2.321	29
65.1	1.432	28

Structural model:
Lattice parameters (Å, degrees): 13.9266 13.9266 10.3132 90.00 90.00 120.00
Space group R-3m (No. 166, hexagonal axes)
Unique sites:
Sm 0.0000 0.0000 0.0000 x3
Th 0.0718 0.5359 0.2184 x18
Sc 0.0000 0.3911 0.5000 x18
Sc 0.0788 0.1575 0.2597 x18

***

Starting from a GGA-PBE-relaxed structure, the powder X-ray diffraction pattern of Sc4Ni3 was simulated for Cu Kα X-rays.

Peak list (12 most intense, 10 to 80 degrees two-theta, by intensity)
2θ/deg	d [Å]	I_rel
38.9	2.314	100
19.9	4.459	88
43.2	2.095	80
43.1	2.100	76
42.8	2.112	73
45.1	2.010	41
32.4	2.761	40
30.1	2.966	30
14.6	6.050	29
43.4	2.083	27
43.6	2.077	26
40.5	2.230	25

Structural model:
Lattice parameters (Å, degrees): 12.5854 4.2241 5.1060 90.00 105.98 90.00
Space group C2/m (No. 12)
Unique sites:
Sc 0.0921 0.0000 0.2776 x4
Sc 0.1590 0.5000 0.7937 x4
Ni 0.0000 0.5000 0.0000 x2
Ni 0.2236 0.5000 0.3312 x4